Starting from a structure optimized by DFT (PBE), the powder diffraction line list of Cu27CO was computed for Cu Kα.
Lines closer than 0.1° are merged.

The 12 most intense peaks (15 to 90 degrees two-theta), in order of rising 2θ:
| d (Å) | 2θ (°) | intensity |
| --- | --- | --- |
| 4.680 | 18.96 | 23 |
| 2.340 | 38.47 | 34 |
| 2.152 | 41.99 | 50 |
| 2.080 | 43.52 | 100 |
| 2.006 | 45.21 | 28 |
| 1.974 | 45.97 | 77 |
| 1.850 | 49.25 | 65 |
| 1.721 | 53.24 | 48 |
| 1.268 | 74.88 | 17 |
| 1.257 | 75.65 | 17 |
| 1.252 | 76.01 | 18 |
| 1.107 | 88.24 | 16 |

Atomic structure:
```
Cu27CO
1.0
7.542 0.000 0.000
-3.771 6.532 0.000
0.000 0.000 14.040
Cu C O
27 1 1
Direct
0.000 0.000 0.000
0.000 0.333 0.000
0.000 0.667 0.000
0.111 0.222 0.148
0.111 0.556 0.148
0.111 0.889 0.148
0.222 0.111 0.296
0.222 0.444 0.296
0.222 0.778 0.296
0.333 0.000 0.000
0.333 0.333 0.000
0.333 0.667 0.000
0.444 0.222 0.148
0.444 0.556 0.148
0.444 0.889 0.148
0.555 0.111 0.296
0.555 0.445 0.296
0.556 0.778 0.296
0.667 0.000 0.000
0.667 0.333 0.000
0.667 0.667 0.000
0.778 0.222 0.148
0.778 0.556 0.148
0.778 0.889 0.148
0.889 0.111 0.296
0.889 0.445 0.296
0.889 0.778 0.296
0.667 0.333 0.399
0.667 0.333 0.483
```